Starting from a PBE+U-relaxed structure, the X-ray powder pattern of Mn6OF11 was calculated for a wavelength of 1.5418 Å.

Structure:
abc: 3.291 7.069 20.772
angles: 90.00 90.00 90.00
Space group Amm2 (No. 38)
Symmetry-distinct sites (fractional):
Mn (0.000, 0.000, 0.000) [2 per cell]
Mn (0.000, 0.000, 0.319) [2 per cell]
Mn (0.000, 0.000, 0.661) [2 per cell]
Mn (0.500, 0.000, 0.169) [2 per cell]
Mn (0.500, 0.000, 0.491) [2 per cell]
Mn (0.500, 0.000, 0.831) [2 per cell]
O (0.500, 0.000, 0.262) [2 per cell]
F (0.000, 0.194, 0.162) [4 per cell]
F (0.000, 0.194, 0.831) [4 per cell]
F (0.000, 0.196, 0.495) [4 per cell]
F (0.500, 0.000, 0.068) [2 per cell]
F (0.500, 0.000, 0.388) [2 per cell]
F (0.500, 0.000, 0.595) [2 per cell]
F (0.500, 0.000, 0.727) [2 per cell]
F (0.500, 0.000, 0.935) [2 per cell]

Top 10 peaks for 2θ = 10–90°, in order of rising 2θ:
| 2theta | I/Imax | index |
| --- | --- | --- |
| 25.19 | 100 | 0 2 0 |
| 25.73 | 94 | 0 0 6 |
| 32.68 | 99 | 1 1 3 |
| 37.33 | 22 | 1 2 0 |
| 37.71 | 21 | 1 0 6 |
| 49.35 | 68 | 1 3 3 |
| 49.96 | 60 | 1 1 9 |
| 51.73 | 22 | 0 4 0 |
| 55.87 | 22 | 2 0 0 |
| 63.06 | 48 | 1 3 9 |